# 1
Diffraction record for Ac8Cd2Sn. The X-ray diffraction stick pattern is computed, not measured: it uses a DFT-relaxed cell (PBE, Alexandria) and λ = 1.5418 Å (Cu Kα).
Intensities are scaled so that the largest is 100.

Peak list (6 most intense, 2θ from 15° to 90°, in order of falling intensity)
d = 3.245 Å, rel. 100; d = 2.846 Å, rel. 58; d = 2.992 Å, rel. 52; d = 3.186 Å, rel. 40; d = 3.426 Å, rel. 36; d = 2.813 Å, rel. 25

Cell and atoms:
```
data_Ac8Cd2Sn
_symmetry_space_group_name_H-M 'C 1 2/m 1'
_symmetry_Int_Tables_number 12
_cell_length_a 20.1876
_cell_length_b 5.6927
_cell_length_c 7.9516
_cell_angle_alpha 90.00
_cell_angle_beta 107.75
_cell_angle_gamma 90.00
loop_
_symmetry_equiv_pos_as_xyz
'x,y,z'
'-x,-y,-z'
'-x,y,-z'
'x,-y,z'
'x+1/2,y+1/2,z'
'-x+1/2,-y+1/2,-z'
'-x+1/2,y+1/2,-z'
'x+1/2,-y+1/2,z'
loop_
_atom_site_label
_atom_site_fract_x
_atom_site_fract_y
_atom_site_fract_z
Ac1 0.0223 0.0000 0.2693
Ac2 0.0925 0.5000 0.9572
Ac3 0.1657 0.5000 0.4642
Ac4 0.1998 0.0000 0.8109
Cd1 0.1817 0.0000 0.2122
Sn1 0.0000 0.5000 0.5000
```

# 2
Diffraction record for Tb8Rh5C12. The X-ray diffraction stick pattern is computed, not measured: it uses a DFT-relaxed cell (PBE, Alexandria) and λ = 1.5418 Å (Cu Kα).
Intensities are scaled so that the largest is 100.

Peak list (6 most intense, 2θ from 15° to 90°, in order of falling intensity)
d = 2.686 Å, rel. 100; d = 2.525 Å, rel. 90; d = 2.566 Å, rel. 77; d = 3.358 Å, rel. 54; d = 1.815 Å, rel. 46; d = 2.489 Å, rel. 44

Cell and atoms:
```
data_Tb8Rh5C12
_symmetry_space_group_name_H-M 'C 1 2/m 1'
_symmetry_Int_Tables_number 12
_cell_length_a 28.0179
_cell_length_b 3.6308
_cell_length_c 7.3976
_cell_angle_alpha 90.00
_cell_angle_beta 93.85
_cell_angle_gamma 90.00
loop_
_symmetry_equiv_pos_as_xyz
'x,y,z'
'-x,-y,-z'
'-x,y,-z'
'x,-y,z'
'x+1/2,y+1/2,z'
'-x+1/2,-y+1/2,-z'
'-x+1/2,y+1/2,-z'
'x+1/2,-y+1/2,z'
loop_
_atom_site_label
_atom_site_fract_x
_atom_site_fract_y
_atom_site_fract_z
Tb1 0.0471 0.0000 0.2909
Tb2 0.0872 0.0000 0.8256
Tb3 0.1996 0.0000 0.6078
Tb4 0.2064 0.0000 0.1196
Rh1 0.0000 0.5000 0.0000
Rh2 0.1092 0.5000 0.4859
Rh3 0.1167 0.5000 0.1228
C1 0.0229 0.5000 0.7534
C2 0.0484 0.5000 0.6128
C3 0.1593 0.5000 0.8870
C4 0.1683 0.5000 0.3454
C5 0.2067 0.5000 0.8680
C6 0.2163 0.5000 0.3650
```

# 3
Diffraction record for Mg3Si4O12. The X-ray diffraction stick pattern is computed, not measured: it uses a DFT-relaxed cell (PBE, Alexandria) and λ = 1.5418 Å (Cu Kα).
Intensities are scaled so that the largest is 100.

Peak list (6 most intense, 2θ from 15° to 90°, in order of falling intensity)
d = 3.298 Å, rel. 100; d = 2.514 Å, rel. 85; d = 4.643 Å, rel. 60; d = 4.509 Å, rel. 49; d = 4.102 Å, rel. 47; d = 2.543 Å, rel. 38

Cell and atoms:
```
data_Mg3Si4O12
_symmetry_space_group_name_H-M 'C 1 2/c 1'
_symmetry_Int_Tables_number 15
_cell_length_a 5.3885
_cell_length_b 9.2612
_cell_length_c 19.8465
_cell_angle_alpha 90.00
_cell_angle_beta 94.44
_cell_angle_gamma 90.00
loop_
_symmetry_equiv_pos_as_xyz
'x,y,z'
'-x,-y,-z'
'-x,y,-z+1/2'
'x,-y,z+1/2'
'x+1/2,y+1/2,z'
'-x+1/2,-y+1/2,-z'
'-x+1/2,y+1/2,-z+1/2'
'x+1/2,-y+1/2,z+1/2'
loop_
_atom_site_label
_atom_site_fract_x
_atom_site_fract_y
_atom_site_fract_z
Mg1 0.2349 0.0882 0.0000
Mg2 0.2500 0.2500 0.5000
Si1 0.1196 0.0865 0.6405
Si2 0.1199 0.2474 0.1405
O1 0.0858 0.4252 0.5428
O2 0.0948 0.0868 0.5572
O3 0.0963 0.2464 0.0572
O4 0.1260 0.1660 0.8323
O5 0.1261 0.3269 0.3326
O6 0.1343 0.0804 0.1681
```

# 4
Diffraction record for Pm7Ge2Ru. The X-ray diffraction stick pattern is computed, not measured: it uses a DFT-relaxed cell (PBE, Alexandria) and λ = 1.5418 Å (Cu Kα).
Intensities are scaled so that the largest is 100.

Peak list (6 most intense, 2θ from 15° to 90°, in order of falling intensity)
d = 2.730 Å, rel. 100; d = 3.152 Å, rel. 73; d = 1.930 Å, rel. 72; d = 5.460 Å, rel. 53; d = 1.646 Å, rel. 32; d = 1.221 Å, rel. 31

Cell and atoms:
```
data_Pm7Ge2Ru
_symmetry_space_group_name_H-M 'F m -3 m'
_symmetry_Int_Tables_number 225
_symmetry_space_group_name_Hall '-F 4 2 3'
_cell_length_a 10.9198
_cell_length_b 10.9198
_cell_length_c 10.9198
_cell_angle_alpha 90.00
_cell_angle_beta 90.00
_cell_angle_gamma 90.00
loop_
_atom_site_label
_atom_site_fract_x
_atom_site_fract_y
_atom_site_fract_z
Pm1 0.0000 0.0000 0.0000
Pm2 0.0000 0.0000 0.2575
Ge1 0.2500 0.2500 0.2500
Ru1 0.0000 0.0000 0.5000
```

# 5
Diffraction record for Sc2TcW. The X-ray diffraction stick pattern is computed, not measured: it uses a DFT-relaxed cell (PBE, Alexandria) and λ = 1.5418 Å (Cu Kα).
Intensities are scaled so that the largest is 100.

Peak list (6 most intense, 2θ from 15° to 90°, in order of falling intensity)
d = 5.534 Å, rel. 100; d = 2.399 Å, rel. 94; d = 2.341 Å, rel. 91; d = 2.392 Å, rel. 53; d = 2.195 Å, rel. 41; d = 1.617 Å, rel. 37

Cell and atoms:
```
data_Sc2TcW
_symmetry_space_group_name_H-M 'P 1 m 1'
_symmetry_Int_Tables_number 6
_cell_length_a 3.0108
_cell_length_b 4.3905
_cell_length_c 5.6660
_cell_angle_alpha 90.00
_cell_angle_beta 102.41
_cell_angle_gamma 90.00
loop_
_symmetry_equiv_pos_as_xyz
'x,y,z'
'x,-y,z'
loop_
_atom_site_label
_atom_site_fract_x
_atom_site_fract_y
_atom_site_fract_z
Sc1 0.0000 0.0000 0.0000
Sc2 0.2686 0.5000 0.7100
Tc1 0.7617 0.5000 0.2531
W1 0.5802 0.0000 0.4515
```

# 6
Diffraction record for HRh2AuICl. The X-ray diffraction stick pattern is computed, not measured: it uses a DFT-relaxed cell (PBE, Alexandria) and λ = 1.5418 Å (Cu Kα).
Intensities are scaled so that the largest is 100.

Peak list (6 most intense, 2θ from 15° to 90°, in order of falling intensity)
d = 2.336 Å, rel. 100; d = 4.108 Å, rel. 74; d = 2.181 Å, rel. 69; d = 2.696 Å, rel. 67; d = 2.738 Å, rel. 66; d = 3.973 Å, rel. 63

Cell and atoms:
```
data_HRh2AuICl
_symmetry_space_group_name_H-M 'P 1 m 1'
_symmetry_Int_Tables_number 6
_cell_length_a 5.4249
_cell_length_b 3.6717
_cell_length_c 6.0576
_cell_angle_alpha 90.00
_cell_angle_beta 91.93
_cell_angle_gamma 90.00
loop_
_symmetry_equiv_pos_as_xyz
'x,y,z'
'x,-y,z'
loop_
_atom_site_label
_atom_site_fract_x
_atom_site_fract_y
_atom_site_fract_z
H1 0.0000 0.0000 0.0000
Rh1 0.2904 0.0000 0.8579
Rh2 0.7756 0.0000 0.7960
Au1 0.5777 0.5000 0.0803
I1 0.0638 0.5000 0.6331
Cl1 0.5596 0.0000 0.4001
```